Diffraction record for RbTe. The powder XRD pattern is simulated, not measured: it uses a GGA-PBE-relaxed structure and Cu Kα X-rays.

The 8 most intense peaks (10 to 90 degrees two-theta), by angle:
2theta, I (rel.), h k l
17.53, 59, 1 1 0
22.07, 59, 1 1 1
30.61, 100, 3 0 0
32.20, 94, 1 1 2
45.02, 37, 2 2 2
54.40, 19, 3 3 0
55.42, 39, 4 1 2
73.20, 16, 5 2 2

Structural model:
```
RbTe
1.0
10.119 0.000 0.000
-5.059 8.763 0.000
0.000 0.000 6.655
Rb Te
6 6
Direct
0.000 0.320 0.000 Rb
0.000 0.654 0.500 Rb
0.320 0.000 0.000 Rb
0.346 0.346 0.500 Rb
0.654 0.000 0.500 Rb
0.680 0.680 0.000 Rb
0.000 0.000 0.288 Te
0.000 0.000 0.712 Te
0.333 0.667 0.213 Te
0.333 0.667 0.787 Te
0.667 0.333 0.213 Te
0.667 0.333 0.787 Te
```



Diffraction record for Rb2Te5. The powder XRD pattern is simulated, not measured: it uses a GGA-PBE-relaxed structure and Cu Kα X-rays.

The 8 most intense peaks (10 to 90 degrees two-theta), by angle:
2theta, I (rel.), h k l
24.36, 23, 1 1 1
25.90, 100, 2 2 -1
27.61, 13, 3 1 0
29.52, 22, 2 0 1
35.60, 13, 4 0 -2
38.26, 19, 0 4 0
39.49, 20, 0 2 2
39.85, 16, 4 2 0

Structural model:
```
Rb2Te5
1.0
11.696 0.000 0.000
0.000 9.409 0.000
-2.785 0.000 5.220
Rb Te
4 10
Direct
0.184 0.000 0.359 Rb
0.316 0.500 0.641 Rb
0.684 0.500 0.359 Rb
0.816 0.000 0.641 Rb
0.000 0.500 0.000 Te
0.093 0.264 0.764 Te
0.093 0.736 0.764 Te
0.407 0.236 0.236 Te
0.407 0.764 0.236 Te
0.500 0.000 0.000 Te
0.593 0.236 0.764 Te
0.593 0.764 0.764 Te
0.907 0.264 0.236 Te
0.907 0.736 0.236 Te
```



Diffraction record for RbTe. The powder XRD pattern is simulated, not measured: it uses a GGA-PBE-relaxed structure and Cu Kα X-rays.

The 8 most intense peaks (10 to 90 degrees two-theta), by angle:
2theta, I (rel.), h k l
24.65, 38, 1 1 1
28.26, 100, 1 2 1
30.93, 21, 2 1 0
31.74, 23, 0 4 0
36.32, 20, 0 0 2
38.46, 18, 2 3 0
48.43, 15, 2 1 2
49.97, 15, 3 1 1

Structural model:
```
RbTe
1.0
5.982 0.000 0.000
0.000 11.277 0.000
0.000 0.000 4.947
Rb Te
4 4
Direct
0.179 0.134 0.000 Rb
0.321 0.634 0.000 Rb
0.679 0.366 0.000 Rb
0.821 0.866 0.000 Rb
0.141 0.398 0.500 Te
0.359 0.898 0.500 Te
0.641 0.102 0.500 Te
0.859 0.602 0.500 Te
```



Diffraction record for RbU3TiTe9. The powder XRD pattern is simulated, not measured: it uses a GGA-PBE-relaxed structure and Cu Kα X-rays.

The 8 most intense peaks (10 to 90 degrees two-theta), by angle:
2theta, I (rel.), h k l
15.35, 24, 0 1 1
27.87, 100, 2 0 3
28.87, 24, 2 1 -3
30.99, 22, 0 2 2
33.10, 23, 0 2 3
34.16, 27, 0 1 6
37.25, 62, 2 2 -2
43.31, 29, 4 0 -1

Structural model:
```
RbU3TiTe9
1.0
8.357 0.000 0.000
0.000 6.115 0.000
-2.059 0.000 17.436
Rb U Ti Te
2 6 2 18
Direct
0.033 0.250 0.128 Rb
0.967 0.750 0.872 Rb
0.101 0.750 0.405 U
0.397 0.250 0.592 U
0.454 0.250 0.814 U
0.546 0.750 0.186 U
0.603 0.750 0.408 U
0.899 0.250 0.595 U
0.500 0.000 0.000 Ti
0.500 0.500 0.000 Ti
0.112 0.250 0.461 Te
0.179 0.002 0.701 Te
0.179 0.498 0.701 Te
0.231 0.250 0.938 Te
0.262 0.750 0.062 Te
0.330 0.502 0.300 Te
0.330 0.998 0.300 Te
0.381 0.750 0.537 Te
0.466 0.750 0.863 Te
0.534 0.250 0.137 Te
0.619 0.250 0.463 Te
0.670 0.002 0.700 Te
0.670 0.498 0.700 Te
0.738 0.250 0.938 Te
0.769 0.750 0.062 Te
0.821 0.502 0.299 Te
0.821 0.998 0.299 Te
0.888 0.750 0.539 Te
```



Diffraction record for RbYTe2. The powder XRD pattern is simulated, not measured: it uses a GGA-PBE-relaxed structure and Cu Kα X-rays.

The 8 most intense peaks (10 to 90 degrees two-theta), by angle:
2theta, I (rel.), h k l
10.31, 14, 0 0 2
24.98, 15, 1 0 2
27.59, 100, 1 0 3
30.90, 21, 1 0 4
38.98, 28, 1 0 6
39.85, 43, 1 1 0
49.15, 20, 2 0 3
65.05, 17, 2 1 3

Structural model:
```
RbYTe2
1.0
4.524 0.000 0.000
-2.262 3.918 0.000
0.000 0.000 17.167
Rb Y Te
2 2 4
Direct
0.333 0.667 0.250 Rb
0.667 0.333 0.750 Rb
0.000 0.000 0.000 Y
0.000 0.000 0.500 Y
0.333 0.667 0.600 Te
0.333 0.667 0.900 Te
0.667 0.333 0.100 Te
0.667 0.333 0.400 Te
```



Diffraction record for Rb2ZrTe3. The powder XRD pattern is simulated, not measured: it uses a GGA-PBE-relaxed structure and Cu Kα X-rays.

The 8 most intense peaks (10 to 90 degrees two-theta), by angle:
2theta, I (rel.), h k l
11.13, 97, 1 1 0
25.48, 63, 1 0 -2
26.18, 35, 1 4 0
27.91, 41, 0 4 1
28.10, 58, 1 4 -1
28.99, 100, 2 2 1
29.92, 81, 3 2 -1
33.53, 39, 1 2 2

Structural model:
```
Rb2ZrTe3
1.0
9.972 0.000 0.000
0.000 14.577 0.000
-2.163 0.000 6.655
Rb Zr Te
8 4 12
Direct
0.095 0.135 0.080 Rb
0.095 0.365 0.580 Rb
0.352 0.045 0.678 Rb
0.352 0.455 0.178 Rb
0.648 0.545 0.822 Rb
0.648 0.955 0.322 Rb
0.905 0.635 0.420 Rb
0.905 0.865 0.920 Rb
0.297 0.748 0.329 Zr
0.297 0.752 0.829 Zr
0.703 0.248 0.171 Zr
0.703 0.252 0.671 Zr
0.095 0.651 0.007 Te
0.095 0.849 0.507 Te
0.273 0.588 0.590 Te
0.273 0.912 0.090 Te
0.473 0.188 0.301 Te
0.473 0.312 0.801 Te
0.527 0.688 0.199 Te
0.527 0.812 0.699 Te
0.727 0.088 0.910 Te
0.727 0.412 0.410 Te
0.905 0.151 0.493 Te
0.905 0.349 0.993 Te
```